Simulated X-ray powder pattern of Nd2DyY6Th3 for copper Kα, from a crystal structure in Alexandria, relaxed with GGA-PBE.

Top 10 peaks for 2θ = 15–90°, in order of rising 2θ:
hkl  2θ (°)  intensity
0 0 2  15.3  19
2 0 0  29.1  13
1 3 1  30.5  100
0 0 4  30.8  32
2 0 2  35.4  67
0 6 0  50.8  24
1 3 5  51.2  23
4 0 0  60.4  14
3 3 3  60.6  28
2 0 6  60.9  14

```
data_Nd2DyY6Th3
_space_group_name_H-M_alt 'C 1 2/m 1'
_space_group_IT_number 12
_cell_length_a 6.2309
_cell_length_b 10.7932
_cell_length_c 11.7992
_cell_angle_alpha 90.00
_cell_angle_beta 100.17
_cell_angle_gamma 90.00
loop_
_space_group_symop_operation_xyz
'x,y,z'
'-x,-y,-z'
'-x,y,-z'
'x,-y,z'
'x+1/2,y+1/2,z'
'-x+1/2,-y+1/2,-z'
'-x+1/2,y+1/2,-z'
'x+1/2,-y+1/2,z'
loop_
_atom_site_label
_atom_site_fract_x
_atom_site_fract_y
_atom_site_fract_z
_atom_site_occupancy
Nd1 0.0000 0.1664 0.0000 1
Dy1 0.0000 0.5000 0.0000 1
Y1 0.2483 0.1665 0.7441 1
Y2 0.2478 0.5000 0.7438 1
Th1 0.0000 0.0000 0.5000 1
Th2 0.0000 0.3329 0.5000 1
```